[1]
Diffraction record for Mg2Al3Ga4. The XRD peak list is simulated, not measured: it uses a DFT-relaxed cell (GGA-PBE, Alexandria) and a wavelength of 1.5418 Å.
Intensities are scaled so that the largest is 100.

Largest 6 diffraction maxima, sorted by position, 2θ from 10° to 90°:
two_theta	I (rel.)	h k l
19.13	40.5	0 2 0
27.64	53.1	0 0 4
33.83	62.7	0 2 4
36.98	62.7	1 2 1
38.83	50.1	0 4 0
42.11	100.0	1 2 3

```
data_Mg2Al3Ga4
_chemical_formula_sum 'Mg4 Al6 Ga8'
_cell_length_a 2.9271
_cell_length_b 9.2767
_cell_length_c 12.9111
_cell_angle_alpha 90.00
_cell_angle_beta 90.00
_cell_angle_gamma 90.00
_symmetry_space_group_name_H-M 'I m m m'
_symmetry_Int_Tables_number 71
_symmetry_space_group_name_Hall '-I 2 2'
loop_
_atom_site_label
_atom_site_fract_x
_atom_site_fract_y
_atom_site_fract_z
_atom_site_occupancy
Mg1 0.0000 0.0000 0.2010 1
Al1 0.0000 0.5000 0.1000 1
Al2 0.0000 0.5000 0.5000 1
Ga1 0.0000 0.2465 0.3616 1
```

***

[2]
Diffraction record for CsBa2Tl9. The XRD peak list is simulated, not measured: it uses a DFT-relaxed cell (GGA-PBE, Alexandria) and a wavelength of 1.5418 Å.
Intensities are scaled so that the largest is 100.

Largest 6 diffraction maxima, sorted by position, 2θ from 10° to 90°:
two_theta	I (rel.)	h k l
15.54	27.3	1 0 1
31.02	28.4	0 2 1
31.29	100.0	1 1 6
32.40	26.6	0 0 12
33.79	44.2	2 0 5
54.94	27.9	2 2 0

```
data_CsBa2Tl9
_chemical_formula_sum 'Cs3 Ba6 Tl27'
_cell_length_a 6.6845
_cell_length_b 6.6845
_cell_length_c 33.1548
_cell_angle_alpha 90.00
_cell_angle_beta 90.00
_cell_angle_gamma 120.00
_symmetry_space_group_name_H-M 'R -3 m'
_symmetry_Int_Tables_number 166
_symmetry_space_group_name_Hall '-R 3 2"'
loop_
_atom_site_label
_atom_site_fract_x
_atom_site_fract_y
_atom_site_fract_z
_atom_site_occupancy
Cs1 0.0000 0.0000 0.0000 1
Ba1 0.0000 0.0000 0.1392 1
Tl1 0.0000 0.0000 0.3361 1
Tl2 0.0000 0.0000 0.5000 1
Tl3 0.0045 0.5023 0.9147 1
```

***

[3]
Diffraction record for Cr6Pb7. The XRD peak list is simulated, not measured: it uses a DFT-relaxed cell (GGA-PBE, Alexandria) and a wavelength of 1.5418 Å.
Intensities are scaled so that the largest is 100.

Largest 6 diffraction maxima, sorted by position, 2θ from 10° to 90°:
two_theta	I (rel.)	h k l
16.04	74.3	1 0 1
18.59	65.9	0 0 6
31.94	74.8	0 2 1
33.34	83.2	1 1 6
35.53	81.2	2 0 5
38.82	100.0	0 2 7

```
data_Cr6Pb7
_chemical_formula_sum 'Cr18 Pb21'
_cell_length_a 6.5027
_cell_length_b 6.5027
_cell_length_c 28.6414
_cell_angle_alpha 90.00
_cell_angle_beta 90.00
_cell_angle_gamma 120.00
_symmetry_space_group_name_H-M 'R -3 m'
_symmetry_Int_Tables_number 166
_symmetry_space_group_name_Hall '-R 3 2"'
loop_
_atom_site_label
_atom_site_fract_x
_atom_site_fract_y
_atom_site_fract_z
_atom_site_occupancy
Cr1 0.0000 0.0000 0.0547 1
Cr2 0.0000 0.0000 0.1657 1
Cr3 0.0000 0.0000 0.3362 1
Pb1 0.0000 0.0000 0.5000 1
Pb2 0.0114 0.5057 0.9216 1
```

***

[4]
Diffraction record for V8Si2Ge3. The XRD peak list is simulated, not measured: it uses a DFT-relaxed cell (GGA-PBE, Alexandria) and a wavelength of 1.5418 Å.
Intensities are scaled so that the largest is 100.

Largest 6 diffraction maxima, sorted by position, 2θ from 10° to 90°:
two_theta	I (rel.)	h k l
14.67	46.6	0 2 0
37.93	55.8	3 1 0
41.16	65.3	0 0 2
44.15	100.0	2 4 1
44.62	79.5	1 5 1
57.20	31.6	3 1 2

```
data_V8Si2Ge3
_chemical_formula_sum 'V16 Si4 Ge6'
_cell_length_a 7.2583
_cell_length_b 12.0727
_cell_length_c 4.3862
_cell_angle_alpha 90.00
_cell_angle_beta 90.00
_cell_angle_gamma 90.00
_symmetry_space_group_name_H-M 'C m m m'
_symmetry_Int_Tables_number 65
_symmetry_space_group_name_Hall '-C 2 2'
loop_
_atom_site_label
_atom_site_fract_x
_atom_site_fract_y
_atom_site_fract_z
_atom_site_occupancy
V1 0.0000 0.1045 0.0000 1
V2 0.0000 0.3199 0.0000 1
V3 0.1940 0.3855 0.5000 1
Si1 0.0000 0.2144 0.5000 1
Ge1 0.0000 0.0000 0.5000 1
Ge2 0.1872 0.5000 0.0000 1
```

***

Number 2 is which compound? CsBa2Tl9